No. 1
Diffraction record for RhS2. The X-ray diffraction stick pattern is theoretical, not measured: it uses a cell relaxed with PBE and λ = 1.5418 Å (Cu Kα).
Intensities are scaled so that the largest is 100.

Structure:
```
12
Lattice="5.7728 0.0000 0.0000 0.0000 5.7728 0.0000 0.0000 0.0000 5.7728" Properties=species:S:1:pos:R:3 pbc="T T T"
Rh 0.0000 0.0000 0.0000
Rh 0.0000 2.8864 2.8864
Rh 2.8864 0.0000 2.8864
Rh 2.8864 2.8864 0.0000
S 0.6297 3.5161 5.1430
S 0.6297 5.1430 2.2566
S 2.2566 0.6297 5.1430
S 2.2566 2.2566 2.2566
S 3.5161 3.5161 3.5161
S 3.5161 5.1430 0.6297
S 5.1430 0.6297 3.5161
S 5.1430 2.2566 0.6297
```

Most intense lines, 2θ from 10° to 80°, in order of rising 2θ:
2θ = 26.75°, d 3.333, intensity 75, (1 1 1)
2θ = 30.98°, d 2.886, intensity 100, (2 0 0)
2θ = 34.75°, d 2.582, intensity 17, (2 1 0)
2θ = 38.19°, d 2.357, intensity 15, (2 1 1)
2θ = 44.39°, d 2.041, intensity 60, (2 2 0)
2θ = 52.58°, d 1.741, intensity 94, (3 1 1)
2θ = 55.11°, d 1.666, intensity 20, (2 2 2)
2θ = 57.57°, d 1.601, intensity 7, (3 0 2)
2θ = 59.96°, d 1.543, intensity 8, (3 2 1)
2θ = 71.20°, d 1.324, intensity 22, (3 3 1)
2θ = 73.34°, d 1.291, intensity 20, (4 2 0)
2θ = 75.47°, d 1.260, intensity 3, (4 2 1)

No. 2
Diffraction record for DyAlFe2. The X-ray diffraction stick pattern is theoretical, not measured: it uses a cell relaxed with PBE and λ = 1.5418 Å (Cu Kα).
Intensities are scaled so that the largest is 100.

Structure:
```
24
Lattice="5.2730 0.0000 0.0000 -2.6365 4.5666 0.0000 0.0000 0.0000 16.2038" Properties=species:S:1:pos:R:3 pbc="T T T"
Dy 0.0000 3.0444 0.5106
Dy 0.0000 3.0444 4.2124
Dy 0.0000 3.0444 7.5611
Dy 2.6365 1.5222 8.6426
Dy 2.6365 1.5222 11.9914
Dy 2.6365 1.5222 15.6931
Al 0.0000 1.4942 14.0222
Al -1.3425 3.8195 14.0222
Al 1.2940 0.7471 2.1816
Al 1.3425 3.8195 14.0222
Al 3.9790 0.7471 2.1816
Al 2.6365 3.0724 2.1816
Fe 0.0000 0.0000 0.0000
Fe 0.0000 0.0000 4.2426
Fe 0.0000 0.0000 8.1019
Fe 0.0000 0.0000 11.9612
Fe 0.0000 1.5120 10.1276
Fe -1.3271 3.8106 10.1276
Fe 1.3094 0.7560 6.0762
Fe 0.0000 3.0444 11.9664
Fe 2.6365 1.5222 4.2373
Fe 1.3271 3.8106 10.1276
Fe 3.9636 0.7560 6.0762
Fe 2.6365 3.0546 6.0762
```

Most intense lines, 2θ from 10° to 80°, in order of rising 2θ:
2θ = 20.20°, d 4.395, intensity 9, (1 0 1)
2θ = 21.94°, d 4.051, intensity 14, (0 0 4)
2θ = 29.48°, d 3.030, intensity 10, (1 0 4)
2θ = 33.96°, d 2.639, intensity 100, (1 1 0)
2θ = 39.47°, d 2.283, intensity 9, (2 0 0)
2θ = 39.87°, d 2.261, intensity 20, (2 0 1)
2θ = 40.84°, d 2.210, intensity 78, (1 1 4)
2θ = 43.85°, d 2.065, intensity 9, (1 0 7)
2θ = 60.82°, d 1.523, intensity 28, (3 0 0)
2θ = 65.51°, d 1.425, intensity 19, (0 3 4)
2θ = 66.09°, d 1.414, intensity 13, (2 0 9)
2θ = 71.58°, d 1.318, intensity 15, (2 2 0)

No. 3
Diffraction record for Hf3N2. The X-ray diffraction stick pattern is theoretical, not measured: it uses a cell relaxed with PBE and λ = 1.5418 Å (Cu Kα).
Intensities are scaled so that the largest is 100.

Structure:
```
15
Lattice="3.2192 0.0000 0.0000 -1.6096 2.7879 0.0000 0.0000 0.0000 23.3628" Properties=species:S:1:pos:R:3 pbc="T T T"
Hf 0.0000 0.0000 0.0000
Hf 0.0000 0.0000 5.1607
Hf 0.0000 0.0000 18.2021
Hf 0.0000 1.8586 10.4145
Hf 0.0000 1.8586 15.5752
Hf 0.0000 1.8586 20.7359
Hf 1.6096 0.9293 2.6269
Hf 1.6096 0.9293 7.7876
Hf 1.6096 0.9293 12.9483
N 0.0000 0.0000 9.0745
N 0.0000 0.0000 14.2883
N 0.0000 1.8586 1.2869
N 0.0000 1.8586 6.5007
N 1.6096 0.9293 16.8621
N 1.6096 0.9293 22.0759
```

Most intense lines, 2θ from 10° to 80°, in order of rising 2θ:
2θ = 32.34°, d 2.768, intensity 31, (1 0 1)
2θ = 33.03°, d 2.712, intensity 13, (0 1 2)
2θ = 34.55°, d 2.596, intensity 45, (0 0 9)
2θ = 35.69°, d 2.516, intensity 85, (1 0 4)
2θ = 37.57°, d 2.394, intensity 100, (0 1 5)
2θ = 44.95°, d 2.017, intensity 14, (0 1 8)
2θ = 51.00°, d 1.791, intensity 15, (1 0 10)
2θ = 57.23°, d 1.610, intensity 39, (1 1 0)
2θ = 61.38°, d 1.511, intensity 20, (1 0 13)
2θ = 65.15°, d 1.432, intensity 18, (0 1 14)
2θ = 68.60°, d 1.368, intensity 39, (1 1 9)
2θ = 70.50°, d 1.336, intensity 16, (2 0 5)

No. 4
Diffraction record for K3Nd. The X-ray diffraction stick pattern is theoretical, not measured: it uses a cell relaxed with PBE and λ = 1.5418 Å (Cu Kα).
Intensities are scaled so that the largest is 100.

Structure:
```
8
Lattice="8.6619 0.0000 0.0000 -4.3309 7.5014 0.0000 0.0000 0.0000 7.1742" Properties=species:S:1:pos:R:3 pbc="T T T"
K 0.0000 2.5656 1.7935
K -2.1090 6.2186 1.7935
K 2.2219 1.2828 5.3806
K 2.1090 6.2186 1.7935
K 6.4400 1.2828 5.3806
K 4.3309 4.9358 5.3806
Nd 0.0000 5.0009 5.3806
Nd 4.3309 2.5005 1.7935
```

Most intense lines, 2θ from 10° to 80°, in order of rising 2θ:
2θ = 11.80°, d 7.501, intensity 18, (1 0 0)
2θ = 17.10°, d 5.185, intensity 39, (1 0 1)
2θ = 20.51°, d 4.331, intensity 18, (1 1 0)
2θ = 23.72°, d 3.751, intensity 23, (2 0 0)
2θ = 24.82°, d 3.587, intensity 27, (0 0 2)
2θ = 26.82°, d 3.324, intensity 100, (2 0 1)
2θ = 34.00°, d 2.637, intensity 18, (2 1 1)
2θ = 34.60°, d 2.592, intensity 17, (2 0 2)
2θ = 41.71°, d 2.165, intensity 19, (2 2 0)
2θ = 44.96°, d 2.016, intensity 23, (2 0 3)
2θ = 49.15°, d 1.854, intensity 23, (2 2 2)
2θ = 50.29°, d 1.814, intensity 16, (4 0 1)

No. 5
Diffraction record for NaCeO2. The X-ray diffraction stick pattern is theoretical, not measured: it uses a cell relaxed with PBE and λ = 1.5418 Å (Cu Kα).
Intensities are scaled so that the largest is 100.

Structure:
```
12
Lattice="3.5765 0.0000 0.0000 -1.7882 3.0973 0.0000 0.0000 0.0000 16.8374" Properties=species:S:1:pos:R:3 pbc="T T T"
Na 0.0000 0.0000 0.0000
Na 0.0000 2.0649 11.2249
Na 1.7882 1.0324 5.6124
Ce 0.0000 0.0000 8.4187
Ce 0.0000 2.0649 2.8062
Ce 1.7882 1.0324 14.0311
O 0.0000 0.0000 4.0346
O 0.0000 0.0000 12.8028
O 0.0000 2.0649 7.1904
O 0.0000 2.0649 15.2595
O 1.7882 1.0324 1.5779
O 1.7882 1.0324 9.6470
```

Most intense lines, 2θ from 10° to 80°, in order of rising 2θ:
2θ = 15.79°, d 5.612, intensity 98, (0 0 3)
2θ = 29.32°, d 3.046, intensity 57, (1 0 1)
2θ = 30.76°, d 2.907, intensity 67, (0 1 2)
2θ = 31.89°, d 2.806, intensity 21, (0 0 6)
2θ = 36.00°, d 2.495, intensity 100, (1 0 4)
2θ = 39.53°, d 2.280, intensity 22, (0 1 5)
2θ = 47.88°, d 1.900, intensity 19, (1 0 7)
2θ = 51.08°, d 1.788, intensity 35, (1 1 0)
2θ = 52.57°, d 1.741, intensity 31, (0 1 8)
2θ = 53.80°, d 1.704, intensity 24, (1 1 3)
2θ = 61.49°, d 1.508, intensity 21, (1 1 6)
2θ = 64.07°, d 1.453, intensity 17, (0 2 4)